Entry 1:
Starting from a cell relaxed with PBE, the X-ray diffraction stick pattern of Ba2AcAl2O7 was simulated for CuKα.

Most intense lines, 10° ≤ 2θ ≤ 90°, in order of rising 2θ:
2theta, I_rel
22.9, 654
25.3, 278
31.0, 1000
32.1, 620
41.3, 562
46.0, 348
52.0, 220
53.0, 168
53.2, 153
56.5, 384

Crystal structure
```
data_Ba2AcAl2O7
_cell_length_a 10.9229
_cell_length_b 10.9229
_cell_length_c 10.9229
_cell_angle_alpha 159.17
_cell_angle_beta 159.17
_cell_angle_gamma 29.62
_space_group_name_H-M_alt 'P 1'
_space_group_IT_number 1
loop_
_space_group_symop_operation_xyz
'x,y,z'
loop_
_atom_site_label
_atom_site_fract_x
_atom_site_fract_y
_atom_site_fract_z
_atom_site_occupancy
Ba1 0.1819 0.1819 0.0000 1
Ba2 0.8181 0.8181 0.0000 1
Ac1 0.0000 0.0000 0.0000 1
Al1 0.4075 0.4075 0.0000 1
Al2 0.5925 0.5925 0.0000 1
O1 0.0879 0.5879 0.5000 1
O2 0.3168 0.3168 0.0000 1
O3 0.4121 0.9121 0.5000 1
O4 0.5000 0.5000 0.0000 1
O5 0.5879 0.0879 0.5000 1
O6 0.6832 0.6832 0.0000 1
O7 0.9121 0.4121 0.5000 1
```

Entry 2:
Starting from a cell relaxed with PBE, the X-ray diffraction stick pattern of Ac2AlBi4 was simulated for CuKα.

Most intense lines, 10° ≤ 2θ ≤ 90°, in order of rising 2θ:
2theta, I_rel
24.9, 270
25.1, 260
27.9, 526
31.4, 317
31.5, 1000
38.0, 500
46.0, 220
46.5, 250
61.6, 221
64.7, 309

Crystal structure
```
data_Ac2AlBi4
_cell_length_a 4.7326
_cell_length_b 4.7326
_cell_length_c 10.7211
_cell_angle_alpha 90.00
_cell_angle_beta 90.00
_cell_angle_gamma 90.00
_space_group_name_H-M_alt 'P 1'
_space_group_IT_number 1
loop_
_space_group_symop_operation_xyz
'x,y,z'
loop_
_atom_site_label
_atom_site_fract_x
_atom_site_fract_y
_atom_site_fract_z
_atom_site_occupancy
Ac1 0.0000 0.5000 0.2492 1
Ac2 0.5000 0.0000 0.7508 1
Al1 0.5000 0.5000 0.0000 1
Bi1 0.0000 0.0000 0.5000 1
Bi2 0.0000 0.5000 0.8496 1
Bi3 0.5000 0.0000 0.1504 1
Bi4 0.5000 0.5000 0.5000 1
```

Entry 3:
Starting from a cell relaxed with PBE, the X-ray diffraction stick pattern of Ac2AlBiPd6 was simulated for CuKα.

Most intense lines, 10° ≤ 2θ ≤ 90°, in order of rising 2θ:
2theta, I_rel
26.5, 848
27.8, 668
28.0, 625
37.4, 773
37.7, 1000
38.4, 725
39.8, 777
40.8, 338
41.1, 566
54.5, 340

Crystal structure
```
data_Ac2AlBiPd6
_cell_length_a 6.7057
_cell_length_b 6.7057
_cell_length_c 8.8880
_cell_angle_alpha 127.17
_cell_angle_beta 127.17
_cell_angle_gamma 50.02
_space_group_name_H-M_alt 'P 1'
_space_group_IT_number 1
loop_
_space_group_symop_operation_xyz
'x,y,z'
loop_
_atom_site_label
_atom_site_fract_x
_atom_site_fract_y
_atom_site_fract_z
_atom_site_occupancy
Ac1 0.2457 0.2457 0.2694 1
Ac2 0.7543 0.7543 0.7306 1
Al1 0.5000 0.5000 0.0000 1
Bi1 0.0000 0.0000 0.5000 1
Pd1 0.2503 0.7440 0.7647 1
Pd2 0.2559 0.2559 0.9182 1
Pd3 0.2560 0.7497 0.2353 1
Pd4 0.7440 0.2503 0.7647 1
Pd5 0.7441 0.7441 0.0818 1
Pd6 0.7497 0.2560 0.2353 1
```

Entry 4:
Starting from a cell relaxed with PBE, the X-ray diffraction stick pattern of Ac4AlBr5 was simulated for CuKα.

Most intense lines, 10° ≤ 2θ ≤ 90°, in order of rising 2θ:
2theta, I_rel
15.0, 201
18.3, 157
23.9, 230
27.3, 638
27.5, 1000
38.8, 364
39.0, 178
39.6, 376
39.8, 218
48.9, 301

Crystal structure
```
data_Ac4AlBr5
_cell_length_a 10.3739
_cell_length_b 10.3739
_cell_length_c 9.2493
_cell_angle_alpha 104.44
_cell_angle_beta 104.44
_cell_angle_gamma 25.26
_space_group_name_H-M_alt 'P 1'
_space_group_IT_number 1
loop_
_space_group_symop_operation_xyz
'x,y,z'
loop_
_atom_site_label
_atom_site_fract_x
_atom_site_fract_y
_atom_site_fract_z
_atom_site_occupancy
Ac1 0.0000 0.0000 0.2343 1
Ac2 0.0000 0.0000 0.7657 1
Ac3 0.3441 0.3441 0.9055 1
Ac4 0.6559 0.6559 0.0945 1
Al1 0.5000 0.5000 0.0000 1
Br1 0.1677 0.1677 0.3364 1
Br2 0.1717 0.1717 0.8572 1
Br3 0.5000 0.5000 0.5000 1
Br4 0.8283 0.8283 0.1428 1
Br5 0.8323 0.8323 0.6636 1
```

Entry 5:
Starting from a cell relaxed with PBE, the X-ray diffraction stick pattern of CaAc2Al3Cd4 was simulated for CuKα.

Most intense lines, 10° ≤ 2θ ≤ 90°, in order of rising 2θ:
2theta, I_rel
23.9, 261
27.1, 190
28.9, 486
30.8, 1000
34.8, 238
38.7, 435
41.2, 226
49.0, 270
57.8, 166
65.1, 229

Crystal structure
```
data_CaAc2Al3Cd4
_cell_length_a 4.6537
_cell_length_b 4.6537
_cell_length_c 12.4067
_cell_angle_alpha 90.00
_cell_angle_beta 90.00
_cell_angle_gamma 90.00
_space_group_name_H-M_alt 'P 1'
_space_group_IT_number 1
loop_
_space_group_symop_operation_xyz
'x,y,z'
loop_
_atom_site_label
_atom_site_fract_x
_atom_site_fract_y
_atom_site_fract_z
_atom_site_occupancy
Ca1 0.0000 0.0000 0.0000 1
Ac1 0.0000 0.5000 0.7239 1
Ac2 0.5000 0.0000 0.2761 1
Al1 0.0000 0.5000 0.3716 1
Al2 0.5000 0.0000 0.6284 1
Al3 0.5000 0.5000 0.0000 1
Cd1 0.0000 0.0000 0.5000 1
Cd2 0.0000 0.5000 0.1555 1
Cd3 0.5000 0.0000 0.8445 1
Cd4 0.5000 0.5000 0.5000 1
```

Entry 6:
Starting from a cell relaxed with PBE, the X-ray diffraction stick pattern of AcAlCd was simulated for CuKα.

Most intense lines, 10° ≤ 2θ ≤ 90°, in order of rising 2θ:
2theta, I_rel
21.0, 566
30.0, 615
30.0, 1000
36.8, 699
43.1, 148
48.2, 302
58.0, 367
62.1, 274
62.2, 128
71.0, 128

Crystal structure
```
data_AcAlCd
_cell_length_a 4.8756
_cell_length_b 8.3862
_cell_length_c 8.4645
_cell_angle_alpha 90.00
_cell_angle_beta 90.00
_cell_angle_gamma 90.00
_space_group_name_H-M_alt 'P 1'
_space_group_IT_number 1
loop_
_space_group_symop_operation_xyz
'x,y,z'
loop_
_atom_site_label
_atom_site_fract_x
_atom_site_fract_y
_atom_site_fract_z
_atom_site_occupancy
Ac1 0.0000 0.2426 0.0000 1
Ac2 0.0000 0.7574 0.0000 1
Ac3 0.5000 0.2574 0.5000 1
Ac4 0.5000 0.7426 0.5000 1
Al1 0.0000 0.0000 0.3436 1
Al2 0.0000 0.0000 0.6564 1
Al3 0.5000 0.5000 0.1564 1
Al4 0.5000 0.5000 0.8436 1
Cd1 0.0000 0.5000 0.3229 1
Cd2 0.0000 0.5000 0.6771 1
Cd3 0.5000 0.0000 0.1771 1
Cd4 0.5000 0.0000 0.8229 1
```

Entry 7:
Starting from a cell relaxed with PBE, the X-ray diffraction stick pattern of Ac2AlCd7 was simulated for CuKα.

Most intense lines, 10° ≤ 2θ ≤ 90°, in order of rising 2θ:
2theta, I_rel
26.9, 257
29.1, 730
30.7, 1000
38.4, 587
41.9, 396
48.9, 366
55.4, 198
58.1, 299
64.7, 234
74.4, 134

Crystal structure
```
data_Ac2AlCd7
_cell_length_a 4.6881
_cell_length_b 4.6881
_cell_length_c 12.1511
_cell_angle_alpha 90.00
_cell_angle_beta 90.00
_cell_angle_gamma 90.00
_space_group_name_H-M_alt 'P 1'
_space_group_IT_number 1
loop_
_space_group_symop_operation_xyz
'x,y,z'
loop_
_atom_site_label
_atom_site_fract_x
_atom_site_fract_y
_atom_site_fract_z
_atom_site_occupancy
Ac1 0.0000 0.5000 0.2414 1
Ac2 0.5000 0.0000 0.7586 1
Al1 0.5000 0.5000 0.0000 1
Cd1 0.0000 0.0000 0.0000 1
Cd2 0.0000 0.0000 0.5000 1
Cd3 0.0000 0.5000 0.6413 1
Cd4 0.0000 0.5000 0.8706 1
Cd5 0.5000 0.0000 0.1294 1
Cd6 0.5000 0.0000 0.3587 1
Cd7 0.5000 0.5000 0.5000 1
```

Entry 8:
Starting from a cell relaxed with PBE, the X-ray diffraction stick pattern of Ac7Al2Cd2 was simulated for CuKα.

Most intense lines, 10° ≤ 2θ ≤ 90°, in order of rising 2θ:
2theta, I_rel
23.9, 304
24.6, 478
26.1, 1000
29.7, 588
31.4, 287
32.5, 469
33.6, 803
41.3, 294
50.6, 237
53.7, 235

Crystal structure
```
data_Ac7Al2Cd2
_cell_length_a 7.2984
_cell_length_b 7.2984
_cell_length_c 8.5367
_cell_angle_alpha 90.00
_cell_angle_beta 90.00
_cell_angle_gamma 110.77
_space_group_name_H-M_alt 'P 1'
_space_group_IT_number 1
loop_
_space_group_symop_operation_xyz
'x,y,z'
loop_
_atom_site_label
_atom_site_fract_x
_atom_site_fract_y
_atom_site_fract_z
_atom_site_occupancy
Ac1 0.0000 0.0000 0.0000 1
Ac2 0.0000 0.5000 0.2952 1
Ac3 0.0000 0.5000 0.7048 1
Ac4 0.5000 0.0000 0.2952 1
Ac5 0.5000 0.0000 0.7048 1
Ac6 0.5000 0.5000 0.2757 1
Ac7 0.5000 0.5000 0.7243 1
Al1 0.1596 0.1596 0.5000 1
Al2 0.8404 0.8404 0.5000 1
Cd1 0.2963 0.7037 0.0000 1
Cd2 0.7037 0.2963 0.0000 1
```

Entry 9:
Starting from a cell relaxed with PBE, the X-ray diffraction stick pattern of Ac3Al3Cd was simulated for CuKα.

Most intense lines, 10° ≤ 2θ ≤ 90°, in order of rising 2θ:
2theta, I_rel
19.7, 423
23.3, 273
24.1, 215
28.8, 473
29.1, 314
29.3, 1000
30.3, 260
35.8, 295
36.5, 325
50.9, 175

Crystal structure
```
data_Ac3Al3Cd
_cell_length_a 6.3989
_cell_length_b 6.3989
_cell_length_c 15.5894
_cell_angle_alpha 108.64
_cell_angle_beta 108.64
_cell_angle_gamma 45.24
_space_group_name_H-M_alt 'P 1'
_space_group_IT_number 1
loop_
_space_group_symop_operation_xyz
'x,y,z'
loop_
_atom_site_label
_atom_site_fract_x
_atom_site_fract_y
_atom_site_fract_z
_atom_site_occupancy
Ac1 0.0395 0.0395 0.3794 1
Ac2 0.1002 0.1002 0.9189 1
Ac3 0.2514 0.2514 0.2181 1
Ac4 0.7486 0.7486 0.7819 1
Ac5 0.8998 0.8998 0.0811 1
Ac6 0.9605 0.9605 0.6206 1
Al1 0.3758 0.3758 0.4593 1
Al2 0.3979 0.3979 0.9277 1
Al3 0.4480 0.4480 0.7706 1
Al4 0.5520 0.5520 0.2294 1
Al5 0.6021 0.6021 0.0723 1
Al6 0.6242 0.6242 0.5407 1
Cd1 0.2485 0.2485 0.6036 1
Cd2 0.7515 0.7515 0.3964 1
```

Entry 10:
Starting from a cell relaxed with PBE, the X-ray diffraction stick pattern of Ac2Al4Cd3Ga was simulated for CuKα.

Most intense lines, 10° ≤ 2θ ≤ 90°, in order of rising 2θ:
2theta, I_rel
20.8, 285
27.2, 334
30.8, 782
31.7, 1000
38.9, 528
45.0, 350
50.4, 399
56.2, 179
61.0, 284
66.0, 244

Crystal structure
```
data_Ac2Al4Cd3Ga
_cell_length_a 4.6283
_cell_length_b 4.6283
_cell_length_c 11.1891
_cell_angle_alpha 90.00
_cell_angle_beta 90.00
_cell_angle_gamma 90.00
_space_group_name_H-M_alt 'P 1'
_space_group_IT_number 1
loop_
_space_group_symop_operation_xyz
'x,y,z'
loop_
_atom_site_label
_atom_site_fract_x
_atom_site_fract_y
_atom_site_fract_z
_atom_site_occupancy
Ac1 0.0000 0.5000 0.2456 1
Ac2 0.5000 0.0000 0.7544 1
Al1 0.0000 0.0000 0.5000 1
Al2 0.0000 0.5000 0.8719 1
Al3 0.5000 0.0000 0.1281 1
Al4 0.5000 0.5000 0.5000 1
Cd1 0.0000 0.0000 0.0000 1
Cd2 0.0000 0.5000 0.6345 1
Cd3 0.5000 0.0000 0.3655 1
Ga1 0.5000 0.5000 0.0000 1
```

Entry 11:
Starting from a cell relaxed with PBE, the X-ray diffraction stick pattern of Ac2AlCd6In was simulated for CuKα.

Most intense lines, 10° ≤ 2θ ≤ 90°, in order of rising 2θ:
2theta, I_rel
22.8, 295
24.8, 442
29.5, 817
30.1, 1000
33.0, 434
37.6, 629
37.7, 307
38.1, 402
46.6, 286
50.9, 223

Crystal structure
```
data_Ac2AlCd6In
_cell_length_a 7.8103
_cell_length_b 9.5714
_cell_length_c 7.5564
_cell_angle_alpha 90.00
_cell_angle_beta 90.00
_cell_angle_gamma 90.00
_space_group_name_H-M_alt 'P 1'
_space_group_IT_number 1
loop_
_space_group_symop_operation_xyz
'x,y,z'
loop_
_atom_site_label
_atom_site_fract_x
_atom_site_fract_y
_atom_site_fract_z
_atom_site_occupancy
Ac1 0.2500 0.0188 0.2280 1
Ac2 0.2500 0.4812 0.2280 1
Ac3 0.7500 0.5188 0.7720 1
Ac4 0.7500 0.9812 0.7720 1
Al1 0.2500 0.2500 0.5478 1
Al2 0.7500 0.7500 0.4522 1
Cd1 0.0618 0.2500 0.8817 1
Cd2 0.0716 0.7500 0.5398 1
Cd3 0.2500 0.0016 0.7201 1
Cd4 0.2500 0.4984 0.7201 1
Cd5 0.4284 0.7500 0.5398 1
Cd6 0.4382 0.2500 0.8817 1
Cd7 0.5618 0.7500 0.1183 1
Cd8 0.5716 0.2500 0.4602 1
Cd9 0.7500 0.5016 0.2799 1
Cd10 0.7500 0.9984 0.2799 1
Cd11 0.9284 0.2500 0.4602 1
Cd12 0.9382 0.7500 0.1183 1
In1 0.2500 0.7500 0.9199 1
In2 0.7500 0.2500 0.0801 1
```

Entry 12:
Starting from a cell relaxed with PBE, the X-ray diffraction stick pattern of AcLa5AlCd2 was simulated for CuKα.

Most intense lines, 10° ≤ 2θ ≤ 90°, in order of rising 2θ:
2theta, I_rel
18.1, 158
28.5, 457
30.4, 1000
31.9, 323
32.1, 410
42.1, 156
46.1, 128
51.7, 175
55.1, 135
58.0, 178

Crystal structure
```
data_AcLa5AlCd2
_cell_length_a 8.8581
_cell_length_b 8.8581
_cell_length_c 7.8743
_cell_angle_alpha 90.00
_cell_angle_beta 90.00
_cell_angle_gamma 90.00
_space_group_name_H-M_alt 'P 1'
_space_group_IT_number 1
loop_
_space_group_symop_operation_xyz
'x,y,z'
loop_
_atom_site_label
_atom_site_fract_x
_atom_site_fract_y
_atom_site_fract_z
_atom_site_occupancy
Ac1 0.0000 0.0000 0.0000 1
Ac2 0.5000 0.5000 0.0000 1
La1 0.0000 0.0000 0.5000 1
La2 0.2034 0.2966 0.2344 1
La3 0.2034 0.2966 0.7656 1
La4 0.2966 0.7966 0.2344 1
La5 0.2966 0.7966 0.7656 1
La6 0.5000 0.5000 0.5000 1
La7 0.7034 0.2034 0.2344 1
La8 0.7034 0.2034 0.7656 1
La9 0.7966 0.7034 0.2344 1
La10 0.7966 0.7034 0.7656 1
Al1 0.0000 0.5000 0.0000 1
Al2 0.5000 0.0000 0.0000 1
Cd1 0.1086 0.6086 0.5000 1
Cd2 0.3914 0.1086 0.5000 1
Cd3 0.6086 0.8914 0.5000 1
Cd4 0.8914 0.3914 0.5000 1
```

Entry 13:
Starting from a cell relaxed with PBE, the X-ray diffraction stick pattern of Ac2Mg6AlCd was simulated for CuKα.

Most intense lines, 10° ≤ 2θ ≤ 90°, in order of rising 2θ:
2theta, I_rel
16.5, 449
22.4, 401
24.3, 1000
28.7, 230
30.3, 458
33.3, 184
36.0, 288
38.0, 360
38.6, 196
40.5, 178

Crystal structure
```
data_Ac2Mg6AlCd
_cell_length_a 7.9443
_cell_length_b 9.9781
_cell_length_c 7.3211
_cell_angle_alpha 90.00
_cell_angle_beta 90.00
_cell_angle_gamma 90.00
_space_group_name_H-M_alt 'P 1'
_space_group_IT_number 1
loop_
_space_group_symop_operation_xyz
'x,y,z'
loop_
_atom_site_label
_atom_site_fract_x
_atom_site_fract_y
_atom_site_fract_z
_atom_site_occupancy
Ac1 0.2500 0.0162 0.2409 1
Ac2 0.2500 0.4838 0.2409 1
Ac3 0.7500 0.5162 0.7591 1
Ac4 0.7500 0.9838 0.7591 1
Mg1 0.0609 0.2500 0.8999 1
Mg2 0.0700 0.7500 0.5510 1
Mg3 0.2500 0.0030 0.7362 1
Mg4 0.2500 0.4970 0.7362 1
Mg5 0.4300 0.7500 0.5510 1
Mg6 0.4391 0.2500 0.8999 1
Mg7 0.5609 0.7500 0.1001 1
Mg8 0.5700 0.2500 0.4490 1
Mg9 0.7500 0.5030 0.2638 1
Mg10 0.7500 0.9970 0.2638 1
Mg11 0.9300 0.2500 0.4490 1
Mg12 0.9391 0.7500 0.1001 1
Al1 0.2500 0.2500 0.5562 1
Al2 0.7500 0.7500 0.4438 1
Cd1 0.2500 0.7500 0.9197 1
Cd2 0.7500 0.2500 0.0803 1
```